Entry 1:
# Nd2SmTmSe4
Computed powder XRD pattern, CuKα. Input: a crystal structure in Alexandria, relaxed with GGA-PBE.
Kinematic intensities with the Lorentz-polarization factor, no thermal factor.

Principal peaks in the range 2θ = 10–90°, most intense first:
2θ (°), I (rel.)
30.4, 100
43.1, 25
43.8, 24
42.7, 13
54.6, 13
63.2, 12
44.2, 12
71.1, 11
72.2, 11
26.5, 9
52.7, 7
53.9, 6

Cell and atoms:
```
Nd2SmTmSe4
1.0
7.1780 0.0000 0.0000
0.0000 4.0944 0.0000
-2.3430 0.0000 6.9522
Nd Sm Tm Se
2 1 1 4
Cartesian
0.0000 0.0000 0.0000
3.5890 2.0472 0.0000
-1.1715 2.0472 3.4761
2.4175 0.0000 3.4761
0.0875 0.0000 5.1393
1.2612 2.0472 1.8480
3.5738 2.0472 5.1042
4.7475 0.0000 1.8128
```



Entry 2:
# TbZn12
Computed powder XRD pattern, CuKα. Input: a crystal structure in Alexandria, relaxed with GGA-PBE.
Kinematic intensities with the Lorentz-polarization factor, no thermal factor.

Principal peaks in the range 2θ = 10–90°, most intense first:
2θ (°), I (rel.)
40.6, 100
39.7, 77
40.9, 57
34.9, 49
44.9, 38
65.2, 23
73.8, 23
28.2, 22
74.4, 20
33.9, 19
61.3, 17
46.0, 16

Cell and atoms:
```
TbZn12
1.0
-4.4086 4.4086 2.6452
4.4086 -4.4086 2.6452
4.4086 4.4086 -2.6452
Tb Zn
1 12
Cartesian
0.0000 0.0000 0.0000
2.2043 2.2043 -1.3226
3.1114 0.0000 0.0000
2.2043 -2.2043 1.3226
5.7058 0.0000 0.0000
4.4086 2.4870 0.0000
0.0000 3.1114 0.0000
-2.2043 2.2043 1.3226
2.4870 4.4086 0.0000
2.2043 2.2043 1.3226
1.9216 0.0000 2.6452
0.0000 5.7058 0.0000
0.0000 1.9216 2.6452
```



Entry 3:
# HfBiP3
Computed powder XRD pattern, CuKα. Input: a crystal structure in Alexandria, relaxed with GGA-PBE.
Kinematic intensities with the Lorentz-polarization factor, no thermal factor.

Principal peaks in the range 2θ = 10–90°, most intense first:
2θ (°), I (rel.)
25.2, 100
44.5, 46
36.0, 37
51.8, 26
70.6, 24
58.5, 21
87.4, 13
81.9, 12
64.7, 9
31.0, 5
76.3, 4
61.7, 2

Cell and atoms:
```
HfBiP3
1.0
4.9896 0.0000 0.0000
0.0000 4.9896 0.0000
0.0000 0.0000 4.9896
Hf Bi P
1 1 3
Cartesian
0.0000 0.0000 0.0000
2.4948 2.4948 2.4948
0.0000 0.0000 2.4948
0.0000 2.4948 0.0000
2.4948 0.0000 0.0000
```



Entry 4:
# RbPO3
Computed powder XRD pattern, CuKα. Input: a crystal structure in Alexandria, relaxed with GGA-PBE.
Kinematic intensities with the Lorentz-polarization factor, no thermal factor.

Principal peaks in the range 2θ = 10–90°, most intense first:
2θ (°), I (rel.)
28.0, 100
26.8, 74
27.0, 72
29.4, 49
25.2, 47
36.2, 40
35.9, 37
25.3, 37
42.4, 35
44.1, 34
24.5, 31
29.1, 22

Cell and atoms:
```
RbPO3
1.0
6.6244 0.0000 0.0000
0.0000 4.3193 0.0000
-5.4314 0.0000 12.2555
Rb P O
4 4 12
Cartesian
-0.9765 0.5734 4.9915
-3.6922 1.5863 11.1192
4.8852 2.7330 1.1363
2.1695 3.7459 7.2640
-1.2983 2.2062 8.3204
1.4173 4.2728 2.1927
-0.2244 0.0465 10.0628
2.4913 2.1131 3.9351
0.0446 0.5609 2.1677
-2.6710 1.5988 8.2954
-0.7195 2.8283 7.0855
1.9962 3.6506 0.9577
1.3830 3.2040 3.4313
-1.3327 3.2750 9.5590
2.5257 1.0443 2.6965
-0.1900 1.1153 8.8242
-0.8032 0.6687 11.2978
1.9125 1.4909 5.1700
3.8640 2.7205 3.9601
1.1483 3.7584 10.0878
```



Entry 5:
# Dy8Zn2Os
Computed powder XRD pattern, CuKα. Input: a crystal structure in Alexandria, relaxed with GGA-PBE.
Kinematic intensities with the Lorentz-polarization factor, no thermal factor.

Principal peaks in the range 2θ = 10–90°, most intense first:
2θ (°), I (rel.)
34.9, 100
31.5, 86
34.6, 76
31.8, 75
29.9, 53
32.1, 45
36.8, 42
62.1, 24
31.0, 23
32.5, 22
40.3, 21
39.2, 20

Cell and atoms:
```
Dy8Zn2Os
1.0
8.7133 -2.5698 0.0000
8.7133 2.5698 0.0000
-2.0888 0.0000 6.4575
Dy Zn Os
8 2 1
Cartesian
-0.1499 0.0000 1.8831
1.7689 0.0000 5.2308
4.8125 0.0000 3.4408
6.9946 0.0000 0.4254
8.3433 0.0000 6.0321
10.5253 0.0000 3.0166
13.5689 0.0000 1.2266
15.4878 0.0000 4.5744
2.7525 0.0000 1.3928
12.5854 0.0000 5.0647
7.6689 0.0000 3.2287
```



Entry 6:
# U2Ni3Ge4Pt
Computed powder XRD pattern, CuKα. Input: a crystal structure in Alexandria, relaxed with GGA-PBE.
Kinematic intensities with the Lorentz-polarization factor, no thermal factor.

Principal peaks in the range 2θ = 10–90°, most intense first:
2θ (°), I (rel.)
35.9, 100
35.0, 53
44.0, 46
23.4, 27
57.5, 26
75.6, 24
51.5, 22
70.1, 18
64.0, 15
65.4, 13
58.5, 11
36.6, 11

Cell and atoms:
```
U2Ni3Ge4Pt
1.0
4.1125 0.0000 0.0000
0.0000 4.1125 0.0000
0.0000 0.0000 9.8313
U Ni Ge Pt
2 3 4 1
Cartesian
0.0000 2.0563 2.4099
2.0563 0.0000 7.4214
0.0000 2.0563 8.6379
2.0563 0.0000 1.1935
2.0563 2.0563 4.9157
0.0000 0.0000 0.0000
0.0000 2.0563 6.3333
2.0563 0.0000 3.4980
2.0563 2.0563 0.0000
0.0000 0.0000 4.9157
```



Entry 7:
# Na3Tl7Cd
Computed powder XRD pattern, CuKα. Input: a crystal structure in Alexandria, relaxed with GGA-PBE.
Kinematic intensities with the Lorentz-polarization factor, no thermal factor.

Principal peaks in the range 2θ = 10–90°, most intense first:
2θ (°), I (rel.)
30.9, 100
31.2, 82
44.5, 70
34.5, 68
23.5, 67
34.6, 66
27.6, 44
23.6, 35
57.7, 27
64.2, 24
39.0, 24
50.4, 22

Cell and atoms:
```
Na3Tl7Cd
1.0
5.8051 -5.7320 0.0000
5.8051 5.7320 0.0000
-2.8578 0.0000 5.0365
Na Tl Cd
3 7 1
Cartesian
0.0000 0.0000 0.0000
4.3762 3.1677 2.5182
4.3762 -3.1677 2.5182
1.4423 2.9892 4.1774
0.2790 0.0000 3.4583
7.3100 2.9892 0.8591
4.3762 0.0000 2.5182
1.4423 -2.9892 4.1774
8.4733 0.0000 1.5781
7.3100 -2.9892 0.8591
5.8051 0.0000 0.0000
```



Entry 8:
# Ho3ErBi3
Computed powder XRD pattern, CuKα. Input: a crystal structure in Alexandria, relaxed with GGA-PBE.
Kinematic intensities with the Lorentz-polarization factor, no thermal factor.

Principal peaks in the range 2θ = 10–90°, most intense first:
2θ (°), I (rel.)
30.3, 100
36.0, 68
61.2, 30
74.7, 19
49.8, 19
43.3, 18
64.7, 15
47.7, 14
45.6, 13
62.9, 11
23.3, 9
69.8, 6

Cell and atoms:
```
Ho3ErBi3
1.0
9.3384 0.0000 0.0000
0.0000 9.3384 0.0000
0.0000 0.0000 9.3384
Ho Er Bi
12 4 12
Cartesian
0.6813 3.9879 5.3505
1.6474 1.6474 1.6474
1.6452 7.6931 3.0239
3.0239 1.6452 7.6931
3.0218 7.6910 6.3166
3.9879 5.3505 0.6813
5.3505 0.6813 3.9879
6.3166 3.0218 7.6910
6.3144 6.3144 6.3144
7.6931 3.0239 1.6452
7.6910 6.3166 3.0218
8.6570 8.6570 8.6570
0.6894 5.3586 8.6490
3.9798 3.9798 3.9798
5.3586 8.6490 0.6894
8.6490 0.6894 5.3586
0.0026 2.3423 8.1671
9.3358 7.0115 5.8405
1.1713 4.6718 2.3269
2.3269 1.1713 4.6718
2.3423 8.1671 0.0026
3.4979 4.6666 6.9961
4.6718 2.3269 1.1713
4.6666 6.9961 3.4979
5.8405 9.3358 7.0115
6.9961 3.4979 4.6666
7.0115 5.8405 9.3358
8.1671 0.0026 2.3423
```



What is the formula in the fifth record? Dy8Zn2Os



Number 1 is which compound? Nd2SmTmSe4